(1)
This entry pairs a crystal structure of Li4Ac2Tl2Bi3 with its theoretical PXRD pattern. Radiation: Cu Kα. Structure: a PBE-relaxed structure.
Lines closer than 0.1° are merged.

Cell and atoms:
```
data_Li4Ac2Tl2Bi3
_chemical_formula_sum 'Li8 Ac4 Tl4 Bi6'
_symmetry_space_group_name_H-M 'I 4/m m m'
_symmetry_Int_Tables_number 139
_symmetry_space_group_name_Hall '-I 4 2'
_cell_length_a 4.751
_cell_length_b 4.751
_cell_length_c 27.697
_cell_angle_alpha 90.00
_cell_angle_beta 90.00
_cell_angle_gamma 90.00
loop_
_atom_site_label
_atom_site_type_symbol
_atom_site_fract_x
_atom_site_fract_y
_atom_site_fract_z
_atom_site_occupancy
Li1 Li 0.000 0.500 0.103 1
Ac1 Ac 0.000 0.000 0.200 1
Tl1 Tl 0.000 0.000 0.051 1
Bi1 Bi 0.000 0.000 0.327 1
Bi2 Bi 0.000 0.000 0.500 1
```

Peak list (12 most intense, 2θ = 15–90°, by intensity)
d/Å	I_rel
3.360	100
3.040	62
2.376	42
1.503	32
1.872	32
2.411	26
2.716	22
2.225	19
4.616	19
3.462	16
1.680	15
1.624	15

(2)
This entry pairs a crystal structure of Sm3Ho2Er with its theoretical PXRD pattern. Radiation: Cu Kα. Structure: a PBE-relaxed structure.
Lines closer than 0.1° are merged.

Cell and atoms:
```
data_Sm3Ho2Er
_chemical_formula_sum 'Sm6 Ho4 Er2'
_symmetry_space_group_name_H-M 'P -1'
_symmetry_Int_Tables_number 2
_cell_length_a 7.201
_cell_length_b 7.203
_cell_length_c 8.880
_cell_angle_alpha 78.24
_cell_angle_beta 78.21
_cell_angle_gamma 60.06
loop_
_symmetry_equiv_pos_as_xyz
'x,y,z'
'-x,-y,-z'
loop_
_atom_site_label
_atom_site_type_symbol
_atom_site_fract_x
_atom_site_fract_y
_atom_site_fract_z
_atom_site_occupancy
Sm1 Sm 0.139 0.139 0.167 1
Sm2 Sm 0.140 0.639 0.165 1
Sm3 Sm 0.251 0.249 0.502 1
Ho1 Ho 0.362 0.860 0.833 1
Ho2 Ho 0.363 0.361 0.832 1
Er1 Er 0.251 0.749 0.501 1
```

Peak list (12 most intense, 2θ = 15–90°, by intensity)
d/Å	I_rel
2.810	100
2.672	87
2.877	50
1.801	38
1.527	37
3.097	37
1.679	22
1.591	18
1.516	16
1.493	15
3.033	14
1.160	11

(3)
This entry pairs a crystal structure of K4Au6S5 with its theoretical PXRD pattern. Radiation: Cu Kα. Structure: a PBE-relaxed structure.
Lines closer than 0.1° are merged.

Cell and atoms:
```
data_K4Au6S5
_chemical_formula_sum 'K8 Au12 S10'
_symmetry_space_group_name_H-M 'P -6 2 c'
_symmetry_Int_Tables_number 190
_symmetry_space_group_name_Hall 'P -6c -2c'
_cell_length_a 9.7981
_cell_length_b 9.7981
_cell_length_c 10.1214
_cell_angle_alpha 90.00
_cell_angle_beta 90.00
_cell_angle_gamma 120.00
loop_
_atom_site_label
_atom_site_type_symbol
_atom_site_fract_x
_atom_site_fract_y
_atom_site_fract_z
_atom_site_occupancy
K1 K 0.0000 0.0000 0.0000 1
K2 K 0.0725 0.6549 0.2500 1
Au1 Au 0.1671 0.4495 0.5882 1
S1 S 0.0338 0.2588 0.7500 1
S2 S 0.3333 0.6667 0.0461 1
```

Peak list (12 most intense, 2θ = 15–90°, by intensity)
d/Å	I_rel
2.325	100
3.135	97
3.057	88
3.207	87
4.899	56
2.709	48
2.168	46
2.450	43
2.353	42
1.623	42
1.448	40
2.641	39

(4)
This entry pairs a crystal structure of Na2CuPdF6 with its theoretical PXRD pattern. Radiation: Cu Kα. Structure: a PBE-relaxed structure.
Lines closer than 0.1° are merged.

Cell and atoms:
```
data_Na2CuPdF6
_chemical_formula_sum 'Na4 Cu2 Pd2 F12'
_symmetry_space_group_name_H-M 'P 1 21/c 1'
_symmetry_Int_Tables_number 14
_cell_length_a 5.544
_cell_length_b 5.764
_cell_length_c 9.726
_cell_angle_alpha 90.00
_cell_angle_beta 124.24
_cell_angle_gamma 90.00
loop_
_symmetry_equiv_pos_as_xyz
'x,y,z'
'-x,-y,-z'
'-x,y+1/2,-z+1/2'
'x,-y+1/2,z+1/2'
loop_
_atom_site_label
_atom_site_type_symbol
_atom_site_fract_x
_atom_site_fract_y
_atom_site_fract_z
_atom_site_occupancy
Na1 Na 0.231 0.060 0.249 1
Cu1 Cu 0.000 0.000 0.500 1
Pd1 Pd 0.500 0.000 0.000 1
F1 F 0.128 0.207 0.939 1
F2 F 0.236 0.693 0.941 1
F3 F 0.359 0.046 0.745 1
```

Peak list (12 most intense, 2θ = 15–90°, by intensity)
d/Å	I_rel
3.996	100
2.843	62
2.825	60
4.020	47
1.998	43
2.882	30
2.772	23
2.010	23
1.792	22
1.607	19
1.649	18
1.617	18

(5)
This entry pairs a crystal structure of LiLa2GaO5 with its theoretical PXRD pattern. Radiation: Cu Kα. Structure: a PBE-relaxed structure.
Lines closer than 0.1° are merged.

Cell and atoms:
```
data_LiLa2GaO5
_chemical_formula_sum 'Li2 La4 Ga2 O10'
_symmetry_space_group_name_H-M 'P 4/m b m'
_symmetry_Int_Tables_number 127
_symmetry_space_group_name_Hall '-P 4 2ab'
_cell_length_a 6.856
_cell_length_b 6.856
_cell_length_c 5.823
_cell_angle_alpha 90.00
_cell_angle_beta 90.00
_cell_angle_gamma 90.00
loop_
_atom_site_label
_atom_site_type_symbol
_atom_site_fract_x
_atom_site_fract_y
_atom_site_fract_z
_atom_site_occupancy
Li1 Li 0.000 0.000 0.000 1
La1 La 0.181 0.319 0.500 1
Ga1 Ga 0.000 0.500 0.000 1
O1 O 0.000 0.000 0.500 1
O2 O 0.135 0.635 0.236 1
```

Peak list (12 most intense, 2θ = 15–90°, by intensity)
d/Å	I_rel
2.713	100
2.954	94
5.823	93
2.111	71
4.848	49
2.032	42
2.911	37
3.066	35
1.599	32
1.444	24
2.424	21
1.689	19

(6)
This entry pairs a crystal structure of P3OsO9 with its theoretical PXRD pattern. Radiation: Cu Kα. Structure: a PBE-relaxed structure.
Lines closer than 0.1° are merged.

Cell and atoms:
```
data_P3OsO9
_chemical_formula_sum 'P12 Os4 O36'
_symmetry_space_group_name_H-M 'C 1 c 1'
_symmetry_Int_Tables_number 9
_cell_length_a 13.471
_cell_length_b 6.572
_cell_length_c 9.584
_cell_angle_alpha 90.00
_cell_angle_beta 127.02
_cell_angle_gamma 90.00
loop_
_symmetry_equiv_pos_as_xyz
'x,y,z'
'x,-y,z+1/2'
'x+1/2,y+1/2,z'
'x+1/2,-y+1/2,z+1/2'
loop_
_atom_site_label
_atom_site_type_symbol
_atom_site_fract_x
_atom_site_fract_y
_atom_site_fract_z
_atom_site_occupancy
P1 P 0.000 0.053 0.000 1
P2 P 0.109 0.400 0.921 1
P3 P 0.384 0.090 0.565 1
Os1 Os 0.246 0.257 0.743 1
O1 O 0.067 0.180 0.938 1
O2 O 0.094 0.079 0.652 1
O3 O 0.129 0.473 0.567 1
O4 O 0.218 0.379 0.917 1
O5 O 0.275 0.143 0.565 1
O6 O 0.356 0.025 0.909 1
O7 O 0.392 0.453 0.837 1
O8 O 0.459 0.290 0.584 1
O9 O 0.485 0.030 0.238 1
```

Peak list (12 most intense, 2θ = 15–90°, by intensity)
d/Å	I_rel
3.968	100
5.398	87
4.748	31
3.673	27
2.852	27
2.491	27
2.804	24
3.341	18
3.503	14
1.553	13
1.751	13
2.336	12

(7)
This entry pairs a crystal structure of Tl3Sn2As2 with its theoretical PXRD pattern. Radiation: Cu Kα. Structure: a PBE-relaxed structure.
Lines closer than 0.1° are merged.

Cell and atoms:
```
data_Tl3Sn2As2
_chemical_formula_sum 'Tl3 Sn2 As2'
_symmetry_space_group_name_H-M 'P -1'
_symmetry_Int_Tables_number 2
_cell_length_a 4.018
_cell_length_b 6.938
_cell_length_c 7.918
_cell_angle_alpha 74.75
_cell_angle_beta 89.67
_cell_angle_gamma 74.34
loop_
_symmetry_equiv_pos_as_xyz
'x,y,z'
'-x,-y,-z'
loop_
_atom_site_label
_atom_site_type_symbol
_atom_site_fract_x
_atom_site_fract_y
_atom_site_fract_z
_atom_site_occupancy
Tl1 Tl 0.000 0.000 0.000 1
Tl2 Tl 0.130 0.771 0.439 1
Sn1 Sn 0.341 0.307 0.185 1
As1 As 0.296 0.402 0.810 1
```

Peak list (12 most intense, 2θ = 15–90°, by intensity)
d/Å	I_rel
2.946	100
2.619	60
2.900	58
3.297	42
2.577	33
2.008	26
3.810	22
1.988	15
2.827	14
2.323	14
1.949	14
3.859	14

(8)
This entry pairs a crystal structure of CrTeHRhAu2 with its theoretical PXRD pattern. Radiation: Cu Kα. Structure: a PBE-relaxed structure.
Lines closer than 0.1° are merged.

Cell and atoms:
```
data_CrTeHRhAu2
_chemical_formula_sum 'Cr2 Te2 H2 Rh2 Au4'
_symmetry_space_group_name_H-M 'C 1 m 1'
_symmetry_Int_Tables_number 8
_cell_length_a 10.380
_cell_length_b 2.970
_cell_length_c 7.054
_cell_angle_alpha 90.00
_cell_angle_beta 111.96
_cell_angle_gamma 90.00
loop_
_symmetry_equiv_pos_as_xyz
'x,y,z'
'x,-y,z'
'x+1/2,y+1/2,z'
'x+1/2,-y+1/2,z'
loop_
_atom_site_label
_atom_site_type_symbol
_atom_site_fract_x
_atom_site_fract_y
_atom_site_fract_z
_atom_site_occupancy
Cr1 Cr 0.000 0.000 0.000 1
Te1 Te 0.244 0.500 0.047 1
H1 H 0.288 0.500 0.595 1
Rh1 Rh 0.278 0.000 0.742 1
Au1 Au 0.091 0.500 0.358 1
Au2 Au 0.475 0.500 0.602 1
```

Peak list (12 most intense, 2θ = 15–90°, by intensity)
d/Å	I_rel
2.271	100
3.328	99
2.180	69
2.246	63
2.418	50
2.343	45
2.505	44
2.715	42
1.274	26
4.820	25
1.644	24
2.038	23

(9)
This entry pairs a crystal structure of Ba5Gd8Zn4O21 with its theoretical PXRD pattern. Radiation: Cu Kα. Structure: a PBE-relaxed structure.
Lines closer than 0.1° are merged.

Cell and atoms:
```
data_Ba5Gd8Zn4O21
_chemical_formula_sum 'Ba10 Gd16 Zn8 O42'
_symmetry_space_group_name_H-M 'I 4/m'
_symmetry_Int_Tables_number 87
_symmetry_space_group_name_Hall '-I 4'
_cell_length_a 14.049
_cell_length_b 14.049
_cell_length_c 5.815
_cell_angle_alpha 90.00
_cell_angle_beta 90.00
_cell_angle_gamma 90.00
loop_
_atom_site_label
_atom_site_type_symbol
_atom_site_fract_x
_atom_site_fract_y
_atom_site_fract_z
_atom_site_occupancy
Ba1 Ba 0.000 0.000 0.000 1
Ba2 Ba 0.033 0.362 0.500 1
Gd1 Gd 0.089 0.857 0.500 1
Gd2 Gd 0.167 0.247 0.000 1
Zn1 Zn 0.041 0.748 0.000 1
O1 O 0.000 0.000 0.500 1
O2 O 0.035 0.374 0.000 1
O3 O 0.047 0.179 0.248 1
O4 O 0.148 0.741 0.246 1
```

Peak list (12 most intense, 2θ = 15–90°, by intensity)
d/Å	I_rel
2.940	100
3.237	43
2.907	41
2.530	31
1.685	20
2.000	18
2.134	17
2.409	14
3.141	14
1.855	12
1.640	11
1.948	10

What did the eighth record say?
This entry pairs a crystal structure of CrTeHRhAu2 with its theoretical PXRD pattern. Radiation: Cu Kα. Structure: a PBE-relaxed structure.
Lines closer than 0.1° are merged.

Cell and atoms:
```
data_CrTeHRhAu2
_chemical_formula_sum 'Cr2 Te2 H2 Rh2 Au4'
_symmetry_space_group_name_H-M 'C 1 m 1'
_symmetry_Int_Tables_number 8
_cell_length_a 10.380
_cell_length_b 2.970
_cell_length_c 7.054
_cell_angle_alpha 90.00
_cell_angle_beta 111.96
_cell_angle_gamma 90.00
loop_
_symmetry_equiv_pos_as_xyz
'x,y,z'
'x,-y,z'
'x+1/2,y+1/2,z'
'x+1/2,-y+1/2,z'
loop_
_atom_site_label
_atom_site_type_symbol
_atom_site_fract_x
_atom_site_fract_y
_atom_site_fract_z
_atom_site_occupancy
Cr1 Cr 0.000 0.000 0.000 1
Te1 Te 0.244 0.500 0.047 1
H1 H 0.288 0.500 0.595 1
Rh1 Rh 0.278 0.000 0.742 1
Au1 Au 0.091 0.500 0.358 1
Au2 Au 0.475 0.500 0.602 1
```

Peak list (12 most intense, 2θ = 15–90°, by intensity)
d/Å	I_rel
2.271	100
3.328	99
2.180	69
2.246	63
2.418	50
2.343	45
2.505	44
2.715	42
1.274	26
4.820	25
1.644	24
2.038	23